# 1
Theoretical powder diffractogram of P2O5 for Cu Ka, from a DFT-relaxed cell (GGA-PBE, the Materials Project).

Cell and atoms:
```
data_P2O5
_chemical_formula_sum 'P8 O20'
_space_group_name_H-M_alt 'P n m a'
_space_group_IT_number 62
_cell_length_a 9.650
_cell_length_b 4.940
_cell_length_c 7.387
_cell_angle_alpha 90.00
_cell_angle_beta 90.00
_cell_angle_gamma 90.00
loop_
_space_group_symop_operation_xyz
'x,y,z'
'-x,-y,-z'
'-x+1/2,-y,z+1/2'
'x+1/2,y,-z+1/2'
'x+1/2,-y+1/2,-z+1/2'
'-x+1/2,y+1/2,z+1/2'
'-x,y+1/2,-z'
'x,-y+1/2,z'
loop_
_atom_site_label
_atom_site_type_symbol
_atom_site_fract_x
_atom_site_fract_y
_atom_site_fract_z
_atom_site_occupancy
P1 P 0.105 0.250 0.151 1
P2 P 0.250 0.250 0.787 1
O1 O 0.040 0.750 0.904 1
O2 O 0.134 0.250 0.662 1
O3 O 0.146 0.001 0.276 1
O4 O 0.223 0.250 0.000 1
```

Principal peaks in the range 5 to 70 degrees two-theta, most intense first:
- (2 1 1), d = 3.127 Å, 2θ = 28.5°, rel. 100
- (1 1 2), d = 2.828 Å, 2θ = 31.6°, rel. 82
- (2 0 1), d = 4.040 Å, 2θ = 22.0°, rel. 70
- (2 1 0), d = 3.452 Å, 2θ = 25.8°, rel. 62
- (1 0 1), d = 5.866 Å, 2θ = 15.1°, rel. 57
- (0 0 2), d = 3.694 Å, 2θ = 24.1°, rel. 56
- (1 1 1), d = 3.779 Å, 2θ = 23.5°, rel. 50
- (2 0 0), d = 4.825 Å, 2θ = 18.4°, rel. 48
- (0 2 0), d = 2.470 Å, 2θ = 36.4°, rel. 35
- (0 1 3), d = 2.203 Å, 2θ = 41.0°, rel. 20
- (4 1 1), d = 2.080 Å, 2θ = 43.5°, rel. 15
- (2 0 4), d = 1.725 Å, 2θ = 53.1°, rel. 14

# 2
Theoretical powder diffractogram of P2Pb4O9 for Cu Ka, from a DFT-relaxed cell (GGA-PBE, the Materials Project).

Cell and atoms:
```
data_P2Pb4O9
_chemical_formula_sum 'P8 Pb16 O36'
_space_group_name_H-M_alt 'P 1 21/c 1'
_space_group_IT_number 14
_cell_length_a 9.673
_cell_length_b 7.320
_cell_length_c 14.833
_cell_angle_alpha 90.00
_cell_angle_beta 104.15
_cell_angle_gamma 90.00
loop_
_space_group_symop_operation_xyz
'x,y,z'
'-x,-y,-z'
'-x,y+1/2,-z+1/2'
'x,-y+1/2,z+1/2'
loop_
_atom_site_label
_atom_site_type_symbol
_atom_site_fract_x
_atom_site_fract_y
_atom_site_fract_z
_atom_site_occupancy
P1 P 0.032 0.208 0.405 1
P2 P 0.373 0.736 0.814 1
Pb1 Pb 0.040 0.708 0.349 1
Pb2 Pb 0.279 0.016 0.615 1
Pb3 Pb 0.311 0.004 0.089 1
Pb4 Pb 0.321 0.229 0.333 1
O1 O 0.026 0.508 0.111 1
O2 O 0.063 0.217 0.812 1
O3 O 0.079 0.675 0.563 1
O4 O 0.181 0.212 0.476 1
O5 O 0.226 0.211 0.176 1
O6 O 0.262 0.602 0.841 1
O7 O 0.295 0.579 0.284 1
O8 O 0.427 0.651 0.732 1
O9 O 0.496 0.239 0.102 1
```

Principal peaks in the range 5 to 70 degrees two-theta, most intense first:
- (1 2 2), d = 2.980 Å, 2θ = 30.0°, rel. 100
- (1 2 -2), d = 3.193 Å, 2θ = 27.9°, rel. 80
- (0 0 4), d = 3.596 Å, 2θ = 24.8°, rel. 60
- (3 0 0), d = 3.126 Å, 2θ = 28.5°, rel. 52
- (4 2 -2), d = 2.012 Å, 2θ = 45.1°, rel. 40
- (0 2 6), d = 2.005 Å, 2θ = 45.2°, rel. 32
- (2 2 0), d = 2.885 Å, 2θ = 31.0°, rel. 29
- (1 0 4), d = 3.113 Å, 2θ = 28.7°, rel. 26
- (1 1 -2), d = 4.873 Å, 2θ = 18.2°, rel. 26
- (2 1 -3), d = 3.411 Å, 2θ = 26.1°, rel. 25
- (1 0 -4), d = 3.670 Å, 2θ = 24.2°, rel. 22
- (3 0 -2), d = 3.164 Å, 2θ = 28.2°, rel. 22

# 3
Theoretical powder diffractogram of P2PbO7 for Cu Ka, from a DFT-relaxed cell (GGA-PBE, the Materials Project).

Cell and atoms:
```
data_P2PbO7
_chemical_formula_sum 'P8 Pb4 O28'
_space_group_name_H-M_alt 'P -1'
_space_group_IT_number 2
_cell_length_a 7.481
_cell_length_b 8.241
_cell_length_c 10.151
_cell_angle_alpha 77.89
_cell_angle_beta 80.43
_cell_angle_gamma 73.56
loop_
_space_group_symop_operation_xyz
'x,y,z'
'-x,-y,-z'
loop_
_atom_site_label
_atom_site_type_symbol
_atom_site_fract_x
_atom_site_fract_y
_atom_site_fract_z
_atom_site_occupancy
P1 P 0.040 0.458 0.220 1
P2 P 0.163 0.273 0.975 1
P3 P 0.332 0.929 0.657 1
P4 P 0.415 0.270 0.542 1
Pb1 Pb 0.110 0.737 0.437 1
Pb2 Pb 0.291 0.855 0.037 1
O1 O 0.006 0.187 0.999 1
O2 O 0.014 0.685 0.679 1
O3 O 0.151 0.419 0.842 1
O4 O 0.152 0.568 0.252 1
O5 O 0.161 0.382 0.088 1
O6 O 0.168 0.921 0.239 1
O7 O 0.182 0.973 0.563 1
O8 O 0.215 0.377 0.538 1
O9 O 0.286 0.868 0.806 1
O10 O 0.356 0.147 0.964 1
O11 O 0.420 0.089 0.643 1
O12 O 0.444 0.660 0.414 1
O13 O 0.485 0.538 0.050 1
O14 O 0.489 0.216 0.394 1
```

Principal peaks in the range 5 to 70 degrees two-theta, most intense first:
- (0 0 2), d = 4.930 Å, 2θ = 18.0°, rel. 100
- (1 -1 0), d = 4.691 Å, 2θ = 18.9°, rel. 77
- (2 1 1), d = 3.628 Å, 2θ = 24.5°, rel. 73
- (0 1 3), d = 3.234 Å, 2θ = 27.6°, rel. 71
- (0 1 1), d = 6.697 Å, 2θ = 13.2°, rel. 58
- (1 2 1), d = 3.917 Å, 2θ = 22.7°, rel. 55
- (1 1 -2), d = 3.459 Å, 2θ = 25.8°, rel. 53
- (1 0 1), d = 6.110 Å, 2θ = 14.5°, rel. 53
- (2 0 1), d = 3.481 Å, 2θ = 25.6°, rel. 39
- (2 1 -1), d = 3.196 Å, 2θ = 27.9°, rel. 37
- (0 2 -2), d = 2.828 Å, 2θ = 31.6°, rel. 36
- (1 -2 0), d = 3.098 Å, 2θ = 28.8°, rel. 31

# 4
Theoretical powder diffractogram of P3Pb5O12 for Cu Ka, from a DFT-relaxed cell (GGA-PBE, the Materials Project).

Cell and atoms:
```
data_P3Pb5O12
_chemical_formula_sum 'P6 Pb10 O24'
_space_group_name_H-M_alt 'P 63/m'
_space_group_IT_number 176
_space_group_name_Hall '-P 6c'
_cell_length_a 9.9580
_cell_length_b 9.9580
_cell_length_c 7.4116
_cell_angle_alpha 90.00
_cell_angle_beta 90.00
_cell_angle_gamma 120.00
loop_
_atom_site_label
_atom_site_type_symbol
_atom_site_fract_x
_atom_site_fract_y
_atom_site_fract_z
_atom_site_occupancy
P1 P 0.0253 0.6257 0.2500 1
Pb1 Pb 0.0022 0.2409 0.2500 1
Pb2 Pb 0.3333 0.6667 0.5008 1
O1 O 0.0820 0.7334 0.0806 1
O2 O 0.1080 0.5272 0.2500 1
O3 O 0.1539 0.4804 0.7500 1
```

Principal peaks in the range 5 to 70 degrees two-theta, most intense first:
- (1 2 1), d = 2.984 Å, 2θ = 29.9°, rel. 100
- (1 1 2), d = 2.973 Å, 2θ = 30.1°, rel. 82
- (1 2 0), d = 3.260 Å, 2θ = 27.4°, rel. 50
- (1 0 2), d = 3.405 Å, 2θ = 26.2°, rel. 46
- (3 0 0), d = 2.875 Å, 2θ = 31.1°, rel. 37
- (2 0 0), d = 4.312 Å, 2θ = 20.6°, rel. 36
- (2 2 2), d = 2.067 Å, 2θ = 43.8°, rel. 36
- (4 0 2), d = 1.864 Å, 2θ = 48.9°, rel. 36
- (1 1 1), d = 4.133 Å, 2θ = 21.5°, rel. 34
- (1 2 3), d = 1.969 Å, 2θ = 46.1°, rel. 33
- (1 4 0), d = 1.882 Å, 2θ = 48.4°, rel. 29
- (3 2 1), d = 1.912 Å, 2θ = 47.6°, rel. 20

# 5
Theoretical powder diffractogram of P3Pb5O13 for Cu Ka, from a DFT-relaxed cell (GGA-PBE, the Materials Project).

Cell and atoms:
```
data_P3Pb5O13
_chemical_formula_sum 'P6 Pb10 O26'
_space_group_name_H-M_alt 'P 1 21 1'
_space_group_IT_number 4
_cell_length_a 9.915
_cell_length_b 7.529
_cell_length_c 9.958
_cell_angle_alpha 90.00
_cell_angle_beta 119.73
_cell_angle_gamma 90.00
loop_
_space_group_symop_operation_xyz
'x,y,z'
'-x,y+1/2,-z'
loop_
_atom_site_label
_atom_site_type_symbol
_atom_site_fract_x
_atom_site_fract_y
_atom_site_fract_z
_atom_site_occupancy
P1 P 0.026 0.000 0.402 1
P2 P 0.378 0.001 0.975 1
P3 P 0.404 0.499 0.375 1
Pb1 Pb 0.003 0.031 0.766 1
Pb2 Pb 0.226 0.027 0.231 1
Pb3 Pb 0.239 0.538 0.013 1
Pb4 Pb 0.333 0.749 0.664 1
Pb5 Pb 0.334 0.255 0.664 1
O1 O 0.017 0.600 0.009 1
O2 O 0.079 0.830 0.349 1
O3 O 0.086 0.164 0.350 1
O4 O 0.111 0.000 0.583 1
O5 O 0.153 0.504 0.669 1
O6 O 0.266 0.164 0.916 1
O7 O 0.272 0.831 0.923 1
O8 O 0.329 0.505 0.479 1
O9 O 0.345 0.334 0.265 1
O10 O 0.358 0.667 0.267 1
O11 O 0.415 0.994 0.528 1
O12 O 0.475 0.001 0.889 1
O13 O 0.486 0.004 0.152 1
```

Principal peaks in the range 5 to 70 degrees two-theta, most intense first:
- (1 2 1), d = 3.001 Å, 2θ = 29.8°, rel. 100
- (1 1 -3), d = 2.992 Å, 2θ = 29.9°, rel. 60
- (0 2 1), d = 3.450 Å, 2θ = 25.8°, rel. 59
- (3 1 -2), d = 2.981 Å, 2θ = 30.0°, rel. 39
- (1 1 -2), d = 4.151 Å, 2θ = 21.4°, rel. 33
- (1 0 2), d = 3.265 Å, 2θ = 27.3°, rel. 31
- (5 0 -4), d = 1.875 Å, 2θ = 48.5°, rel. 30
- (2 2 2), d = 2.078 Å, 2θ = 43.6°, rel. 26
- (2 3 -3), d = 1.989 Å, 2θ = 45.6°, rel. 25
- (3 0 -2), d = 3.249 Å, 2θ = 27.5°, rel. 24
- (4 2 0), d = 1.867 Å, 2θ = 48.8°, rel. 24
- (3 0 0), d = 2.867 Å, 2θ = 31.2°, rel. 24